Ba2Sr12Ca: computed XRD peak list (Cu Kα X-rays), based on a cell relaxed with PBE.

Structure:
```
Ba2Sr12Ca
1.0
7.8396 0.0000 0.0000
0.0000 7.8396 0.0000
0.0000 0.0000 29.6497
Ba Sr Ca
4 24 2
direct
0.2500 0.7500 0.2220
0.2500 0.7500 0.7780
0.7500 0.2500 0.2220
0.7500 0.2500 0.7780
0.0037 0.5037 0.3999
0.0037 0.9963 0.6001
0.0745 0.5745 0.9389
0.0745 0.9255 0.0611
0.2500 0.2500 0.1599
0.2500 0.2500 0.2944
0.2500 0.2500 0.7056
0.2500 0.2500 0.8401
0.4255 0.5745 0.0611
0.4255 0.9255 0.9389
0.4963 0.5037 0.6001
0.4963 0.9963 0.3999
0.5037 0.0037 0.6001
0.5037 0.4963 0.3999
0.5745 0.0745 0.0611
0.5745 0.4255 0.9389
0.7500 0.7500 0.1599
0.7500 0.7500 0.2944
0.7500 0.7500 0.7056
0.7500 0.7500 0.8401
0.9255 0.0745 0.9389
0.9255 0.4255 0.0611
0.9963 0.0037 0.3999
0.9963 0.4963 0.6001
0.2500 0.7500 0.5000
0.7500 0.2500 0.5000
```

Principal peaks in the range 2θ from 15° to 90°, sorted by position:
hkl 1 1 4, d = 4.439 Å, 2θ 20.00, I = 25
hkl 2 0 2, d = 3.790 Å, 2θ 23.48, I = 100
hkl 2 0 3, d = 3.644 Å, 2θ 24.43, I = 33
hkl 2 0 4, d = 3.465 Å, 2θ 25.71, I = 40
hkl 1 1 7, d = 3.366 Å, 2θ 26.48, I = 66
hkl 0 0 9, d = 3.299 Å, 2θ 27.03, I = 31
hkl 2 0 6, d = 3.072 Å, 2θ 29.07, I = 37
hkl 2 2 0, d = 2.772 Å, 2θ 32.30, I = 61
hkl 3 1 9, d = 1.981 Å, 2θ 45.81, I = 29
hkl 2 0 15, d = 1.765 Å, 2θ 51.80, I = 25